Record 1
Structure and theoretical powder X-ray diffraction pattern of CdH18Se4N4O14 (the GGA-PBE geometry in OQMD; CuKα).
Lines closer than 0.1° are merged.

Most intense lines, 2θ = 5–70°, sorted by position:
hkl 0 0 1, d 10.100, 2θ 8.76, I 56
hkl 0 1 0, d 6.594, 2θ 13.43, I 41
hkl 0 1 1, d 5.866, 2θ 15.10, I 100
hkl -1 1 1, d 3.238, 2θ 27.55, I 47
hkl 1 2 2, d 3.213, 2θ 27.76, I 48
hkl 1 1 -2, d 3.140, 2θ 28.43, I 53
hkl 1 0 3, d 3.110, 2θ 28.70, I 61
hkl 0 2 -1, d 3.025, 2θ 29.53, I 58
hkl 2 1 1, d 2.853, 2θ 31.36, I 48
hkl 2 3 0, d 2.076, 2θ 43.61, I 33

Structure:
```
data_CdH18Se4N4O14
_chemical_formula_sum 'Cd1 H18 Se4 N4 O14'
_space_group_name_H-M_alt 'P -1'
_space_group_IT_number 2
_cell_length_a 5.7061
_cell_length_b 7.2240
_cell_length_c 10.5394
_cell_angle_alpha 77.74
_cell_angle_beta 74.98
_cell_angle_gamma 66.91
loop_
_space_group_symop_operation_xyz
'x,y,z'
'-x,-y,-z'
loop_
_atom_site_label
_atom_site_type_symbol
_atom_site_fract_x
_atom_site_fract_y
_atom_site_fract_z
Cd1 Cd 0.0000 0.0000 0.0000
H1 H 0.1364 0.2616 0.3401
H2 H 0.1411 0.4762 0.8890
H3 H 0.2724 0.8862 0.5908
H4 H 0.3121 0.7291 0.4788
H5 H 0.3261 0.6100 0.8968
H6 H 0.3827 0.3700 0.9775
H7 H 0.4515 0.1862 0.5228
H8 H 0.4553 0.4141 0.8090
H9 H 0.4848 0.6393 0.6006
Se1 Se 0.0254 0.6620 0.2981
Se2 Se 0.3989 0.0359 0.1845
N1 N 0.3231 0.4677 0.8944
N2 N 0.4007 0.7674 0.5385
O1 O 0.0662 0.6841 0.1325
O2 O 0.0749 0.5323 0.6387
O3 O 0.1296 0.1548 0.1163
O4 O 0.1979 0.1279 0.6460
O5 O 0.2758 0.1176 0.3435
O6 O 0.3129 0.6212 0.3348
O7 O 0.4202 0.8166 0.8998
```

***

Record 2
Structure and theoretical powder X-ray diffraction pattern of CdP2H8O10 (the GGA-PBE geometry in OQMD; CuKα).
Lines closer than 0.1° are merged.

Most intense lines, 2θ = 5–70°, sorted by position:
hkl 0 1 1, d 5.838, 2θ 15.18, I 89
hkl 1 1 -1, d 4.500, 2θ 19.73, I 49
hkl 1 0 0, d 4.107, 2θ 21.64, I 55
hkl 1 1 -2, d 3.645, 2θ 24.42, I 19
hkl 0 3 1, d 3.327, 2θ 26.80, I 100
hkl 1 2 -2, d 3.192, 2θ 27.95, I 53
hkl 1 1 -3, d 2.630, 2θ 34.09, I 18
hkl 2 1 -1, d 2.304, 2θ 39.09, I 42
hkl 2 2 -2, d 2.250, 2θ 40.07, I 24
hkl 1 3 -3, d 2.206, 2θ 40.91, I 27

Structure:
```
data_CdP2H8O10
_chemical_formula_sum 'Cd2 P4 H16 O20'
_space_group_name_H-M_alt 'P 1 21/c 1'
_space_group_IT_number 14
_cell_length_a 4.9058
_cell_length_b 11.4495
_cell_length_c 8.1067
_cell_angle_alpha 90.00
_cell_angle_beta 123.16
_cell_angle_gamma 90.00
loop_
_space_group_symop_operation_xyz
'x,y,z'
'-x,-y,-z'
'-x,y+1/2,-z+1/2'
'x,-y+1/2,z+1/2'
loop_
_atom_site_label
_atom_site_type_symbol
_atom_site_fract_x
_atom_site_fract_y
_atom_site_fract_z
Cd1 Cd 0.0000 0.0000 0.0000
P1 P 0.1150 0.2050 0.3864
H1 H 0.2109 0.6637 0.8176
H2 H 0.3292 0.0862 0.7921
H3 H 0.3492 0.5355 0.2021
H4 H 0.3901 0.7057 0.2141
O1 O 0.0225 0.1622 0.8031
O2 O 0.1252 0.1268 0.2420
O3 O 0.1851 0.6711 0.0956
O4 O 0.4224 0.2122 0.5878
O5 O 0.4673 0.0182 0.8151
```

***

Record 3
Structure and theoretical powder X-ray diffraction pattern of CdPHO3 (the GGA-PBE geometry in OQMD; CuKα).
Lines closer than 0.1° are merged.

Most intense lines, 2θ = 5–70°, sorted by position:
hkl 1 0 1, d 6.808, 2θ 13.00, I 42
hkl 1 1 0, d 6.745, 2θ 13.13, I 90
hkl 2 1 1, d 3.906, 2θ 22.77, I 59
hkl 2 0 2, d 3.404, 2θ 26.18, I 43
hkl 3 -2 2, d 3.039, 2θ 29.39, I 87
hkl 1 3 1, d 3.022, 2θ 29.56, I 100
hkl 2 -1 3, d 2.580, 2θ 34.77, I 44
hkl 1 4 0, d 2.549, 2θ 35.20, I 48
hkl 5 -3 2, d 2.258, 2θ 39.93, I 62
hkl 8 -5 1, d 1.637, 2θ 56.20, I 35

Structure:
```
data_CdPHO3
_chemical_formula_sum 'Cd18 P18 H18 O54'
_space_group_name_H-M_alt 'R -3'
_space_group_IT_number 148
_space_group_name_Hall '-R 3'
_cell_length_a 13.4892
_cell_length_b 13.4892
_cell_length_c 8.3781
_cell_angle_alpha 90.00
_cell_angle_beta 90.00
_cell_angle_gamma 120.00
loop_
_atom_site_label
_atom_site_type_symbol
_atom_site_fract_x
_atom_site_fract_y
_atom_site_fract_z
Cd1 Cd 0.0493 0.2715 0.0929
P1 P 0.0212 0.1843 0.7124
H1 H 0.0234 0.9141 0.3846
O1 O 0.0137 0.7345 0.3644
O2 O 0.0312 0.8558 0.1206
O3 O 0.0857 0.8478 0.7184
```

***

Record 4
Structure and theoretical powder X-ray diffraction pattern of CdH4S2O5 (the GGA-PBE geometry in OQMD; CuKα).
Lines closer than 0.1° are merged.

Most intense lines, 2θ = 5–70°, sorted by position:
hkl 0 0 2, d 6.796, 2θ 13.03, I 85
hkl 1 0 0, d 5.421, 2θ 16.35, I 41
hkl 1 1 -2, d 3.935, 2θ 22.60, I 48
hkl 1 0 2, d 3.867, 2θ 23.00, I 98
hkl 0 2 1, d 3.415, 2θ 26.10, I 100
hkl 1 0 -4, d 3.190, 2θ 27.97, I 36
hkl 1 1 -4, d 2.906, 2θ 30.76, I 36
hkl 2 1 0, d 2.533, 2θ 35.44, I 61
hkl 1 2 3, d 2.358, 2θ 38.17, I 28
hkl 0 1 6, d 2.158, 2θ 41.87, I 34

Structure:
```
data_CdH4S2O5
_chemical_formula_sum 'Cd4 H16 S8 O20'
_space_group_name_H-M_alt 'P 1 21/c 1'
_space_group_IT_number 14
_cell_length_a 5.5391
_cell_length_b 7.0566
_cell_length_c 13.8896
_cell_angle_alpha 90.00
_cell_angle_beta 101.87
_cell_angle_gamma 90.00
loop_
_space_group_symop_operation_xyz
'x,y,z'
'-x,-y,-z'
'-x,y+1/2,-z+1/2'
'x,-y+1/2,z+1/2'
loop_
_atom_site_label
_atom_site_type_symbol
_atom_site_fract_x
_atom_site_fract_y
_atom_site_fract_z
Cd1 Cd 0.1204 0.1736 0.1822
H1 H 0.2231 0.6227 0.4949
H2 H 0.2507 0.1576 0.9811
H3 H 0.3269 0.1392 0.5332
H4 H 0.3976 0.6369 0.4194
S1 S 0.0184 0.0291 0.3378
S2 S 0.3002 0.6787 0.1571
O1 O 0.2104 0.6328 0.6174
O2 O 0.2364 0.5829 0.4274
O3 O 0.3005 0.2248 0.0446
O4 O 0.4237 0.5799 0.0885
O5 O 0.4492 0.6965 0.2574
```